Entry 1:
Theoretical XRD peak list
Compound: MgTi4Cu3O12
Radiation: CuKα
Structure: DFT lattice parameters and positions (GGA-PBE)
Lines closer than 0.1° are merged.

Principal peaks in the range 2θ = 10–80°, low angle first:
2θ (°)  Rel. int.
16.59  100
23.53  21
28.36  38
33.45  99
33.62  43
34.01  36
43.93  23
47.61  24
48.45  31
60.40  23

Cell and atoms:
```
MgTi4Cu3O12
1.0
5.273 -3.758 0.000
5.273 3.758 0.000
-5.217 0.000 5.483
Mg Ti Cu O
1 4 3 12
Cartesian
0.000 0.000 0.000
2.222 1.961 0.600
-0.436 1.916 3.413
-0.436 -1.916 3.413
2.222 -1.961 0.600
-3.235 0.000 3.439
-1.085 0.000 2.002
4.679 0.000 0.672
0.303 1.362 1.750
2.968 2.337 2.408
1.100 2.371 4.485
2.676 0.000 0.713
-0.510 0.000 4.144
0.303 -1.362 1.750
3.726 1.372 5.083
6.648 0.000 0.621
4.712 0.000 2.807
2.968 -2.337 2.408
1.100 -2.371 4.485
3.726 -1.372 5.083
```

=====

Entry 2:
Theoretical XRD peak list
Compound: Fe5B2P
Radiation: CuKα
Structure: DFT lattice parameters and positions (GGA-PBE)
Lines closer than 0.1° are merged.

Principal peaks in the range 2θ = 10–80°, low angle first:
2θ (°)  Rel. int.
34.80  15
37.92  70
42.17  43
45.62  100
47.15  23
48.61  72
53.13  52
72.01  14
75.39  20
77.32  19

Cell and atoms:
```
Fe5B2P
1.0
-2.726 2.726 5.156
2.726 -2.726 5.156
2.726 2.726 -5.156
Fe B P
10 4 2
Cartesian
0.000 0.000 0.000
3.660 0.934 -1.429
0.934 1.792 -1.429
3.660 0.934 1.429
0.934 1.792 1.429
0.000 0.000 5.156
1.792 0.934 3.726
-0.934 1.792 3.726
1.792 0.934 6.585
-0.934 1.792 6.585
2.080 0.646 0.000
2.080 -0.646 5.156
0.646 3.372 0.000
0.646 2.080 5.156
0.000 0.000 2.578
0.000 0.000 7.734
```

=====

Entry 3:
Theoretical XRD peak list
Compound: LiSiBiO4
Radiation: CuKα
Structure: DFT lattice parameters and positions (GGA-PBE)
Lines closer than 0.1° are merged.

Principal peaks in the range 2θ = 10–80°, low angle first:
2θ (°)  Rel. int.
19.76  100
21.25  25
29.18  76
34.59  37
40.15  19
40.95  35
45.86  25
53.78  15
54.01  18
58.69  24

Cell and atoms:
```
LiSiBiO4
1.0
8.984 0.000 0.000
-4.492 7.780 0.000
0.000 0.000 8.363
Li Si Bi O
6 6 6 24
Cartesian
-2.832 5.326 0.000
1.296 2.665 0.000
2.956 0.211 4.181
1.536 7.570 0.000
3.196 5.115 4.181
7.324 2.455 4.181
-2.830 5.265 5.134
1.348 2.697 5.134
3.009 0.181 0.953
1.483 7.599 5.134
3.144 5.084 0.953
7.322 2.516 0.953
0.000 0.000 1.586
0.000 0.000 5.767
0.000 5.187 2.429
0.000 5.187 6.179
4.492 2.593 1.998
4.492 2.593 6.611
-3.169 6.723 4.387
-1.586 4.452 4.408
-2.247 5.693 6.614
0.254 1.675 4.387
-0.253 3.365 1.099
1.578 0.617 0.205
-1.451 6.317 1.099
0.686 2.988 6.614
2.931 0.900 2.432
1.429 4.181 4.408
2.788 1.902 5.280
0.157 6.928 4.408
4.335 0.853 0.227
1.704 5.879 1.099
3.063 3.600 0.227
1.561 6.880 6.614
3.806 4.792 2.432
5.943 1.464 5.280
2.914 7.163 4.387
4.745 4.415 5.280
4.238 6.106 0.205
6.739 2.088 2.432
6.078 3.328 0.227
7.661 1.058 0.205
```

=====

Entry 4:
Theoretical XRD peak list
Compound: CaMg6Sn
Radiation: CuKα
Structure: DFT lattice parameters and positions (GGA-PBE)
Lines closer than 0.1° are merged.

Principal peaks in the range 2θ = 10–80°, low angle first:
2θ (°)  Rel. int.
14.96  31
15.73  29
17.03  25
22.74  28
23.26  23
31.74  43
34.45  37
34.86  56
36.25  100
66.19  21

Cell and atoms:
```
CaMg6Sn
1.0
5.207 0.000 0.000
0.000 3.203 5.921
0.000 -3.203 5.921
Ca Mg Sn
1 6 1
Cartesian
0.000 0.000 0.000
0.000 -1.608 8.857
0.000 1.608 8.857
2.604 -1.585 4.848
2.604 0.000 1.989
2.604 1.585 4.848
2.604 0.000 7.886
0.000 0.000 5.871
```

=====

Entry 5:
Theoretical XRD peak list
Compound: KSi2HO5
Radiation: CuKα
Structure: DFT lattice parameters and positions (GGA-PBE)
Lines closer than 0.1° are merged.

Principal peaks in the range 2θ = 10–80°, low angle first:
2θ (°)  Rel. int.
13.98  23
21.50  26
22.50  75
25.74  45
28.12  100
29.35  88
30.22  40
40.29  20
43.51  15
48.80  18

Cell and atoms:
```
KSi2HO5
1.0
12.667 0.000 0.000
0.000 8.266 0.000
0.000 0.000 4.811
K Si H O
4 8 4 20
Cartesian
0.487 2.067 0.178
5.846 6.200 2.584
6.821 2.067 2.227
12.180 6.200 4.633
2.365 4.645 2.530
2.365 7.755 2.530
3.969 0.512 0.125
3.969 3.621 0.125
8.698 4.645 4.686
8.698 7.755 4.686
10.302 0.512 2.281
10.302 3.621 2.281
0.000 0.000 2.406
0.000 4.133 2.406
6.333 0.000 0.000
6.333 4.133 0.000
0.952 4.181 3.154
0.952 8.218 3.154
2.332 6.200 1.982
2.742 0.417 1.220
2.742 3.716 1.220
3.591 4.550 3.625
3.591 7.850 3.625
4.001 2.067 4.388
5.382 0.048 0.748
5.382 4.085 0.748
7.285 4.181 4.063
7.285 8.218 4.063
8.666 6.200 0.423
9.076 0.417 1.186
9.076 3.716 1.186
9.925 4.550 3.591
9.925 7.850 3.591
10.335 2.067 2.829
11.715 0.048 1.658
11.715 4.085 1.658
```